1.
Calculated powder XRD pattern
Compound: ErNp5N6
Radiation: copper Kα
Structure: DFT lattice parameters and positions (GGA-PBE)
Lines closer than 0.1° are merged.

Largest 8 diffraction maxima, low angle first, 2θ from 10° to 90°:
2θ = 31.79°, I = 100; 2θ = 36.87°, I = 65; 2θ = 53.13°, I = 46; 2θ = 63.24°, I = 23; 2θ = 63.28°, I = 23; 2θ = 66.42°, I = 16; 2θ = 87.16°, I = 13; 2θ = 89.97°, I = 11

Crystal structure
```
data_ErNp5N6
_symmetry_space_group_name_H-M 'C 1 2/m 1'
_symmetry_Int_Tables_number 12
_cell_length_a 5.970
_cell_length_b 10.341
_cell_length_c 5.971
_cell_angle_alpha 90.00
_cell_angle_beta 109.41
_cell_angle_gamma 90.00
loop_
_symmetry_equiv_pos_as_xyz
'x,y,z'
'-x,-y,-z'
'-x,y,-z'
'x,-y,z'
'x+1/2,y+1/2,z'
'-x+1/2,-y+1/2,-z'
'-x+1/2,y+1/2,-z'
'x+1/2,-y+1/2,z'
loop_
_atom_site_label
_atom_site_type_symbol
_atom_site_fract_x
_atom_site_fract_y
_atom_site_fract_z
Er1 Er 0.000 0.000 0.000
Np1 Np 0.000 0.166 0.500
Np2 Np 0.000 0.333 0.000
Np3 Np 0.000 0.500 0.500
N1 N 0.249 0.500 0.251
N2 N 0.250 0.167 0.249
```


2.
Calculated powder XRD pattern
Compound: Rb2Cd2Te3
Radiation: copper Kα
Structure: DFT lattice parameters and positions (GGA-PBE)
Lines closer than 0.1° are merged.

Largest 8 diffraction maxima, low angle first, 2θ from 10° to 90°:
2θ = 10.58°, I = 47; 2θ = 22.12°, I = 100; 2θ = 24.60°, I = 53; 2θ = 27.18°, I = 57; 2θ = 28.89°, I = 75; 2θ = 30.88°, I = 34; 2θ = 36.14°, I = 31; 2θ = 37.25°, I = 44

Crystal structure
```
data_Rb2Cd2Te3
_symmetry_space_group_name_H-M 'C 1 2/c 1'
_symmetry_Int_Tables_number 15
_cell_length_a 18.541
_cell_length_b 16.753
_cell_length_c 8.029
_cell_angle_alpha 90.00
_cell_angle_beta 115.61
_cell_angle_gamma 90.00
loop_
_symmetry_equiv_pos_as_xyz
'x,y,z'
'-x,-y,-z'
'-x,y,-z+1/2'
'x,-y,z+1/2'
'x+1/2,y+1/2,z'
'-x+1/2,-y+1/2,-z'
'-x+1/2,y+1/2,-z+1/2'
'x+1/2,-y+1/2,z+1/2'
loop_
_atom_site_label
_atom_site_type_symbol
_atom_site_fract_x
_atom_site_fract_y
_atom_site_fract_z
Rb1 Rb 0.000 0.065 0.250
Rb2 Rb 0.000 0.214 0.750
Rb3 Rb 0.108 0.412 0.585
Cd1 Cd 0.191 0.230 0.259
Cd2 Cd 0.224 0.076 0.802
Te1 Te 0.113 0.374 0.075
Te2 Te 0.145 0.207 0.560
Te3 Te 0.165 0.073 0.083
```


3.
Calculated powder XRD pattern
Compound: PuGeAu6
Radiation: copper Kα
Structure: DFT lattice parameters and positions (GGA-PBE)
Lines closer than 0.1° are merged.

Largest 8 diffraction maxima, low angle first, 2θ from 10° to 90°:
2θ = 32.75°, I = 72; 2θ = 35.90°, I = 77; 2θ = 36.03°, I = 90; 2θ = 36.45°, I = 25; 2θ = 37.19°, I = 100; 2θ = 38.60°, I = 39; 2θ = 42.98°, I = 28; 2θ = 46.66°, I = 27

Crystal structure
```
data_PuGeAu6
_symmetry_space_group_name_H-M 'P 1'
_symmetry_Int_Tables_number 1
_cell_length_a 4.974
_cell_length_b 5.658
_cell_length_c 6.738
_cell_angle_alpha 69.90
_cell_angle_beta 88.26
_cell_angle_gamma 70.43
loop_
_symmetry_equiv_pos_as_xyz
'x,y,z'
loop_
_atom_site_label
_atom_site_type_symbol
_atom_site_fract_x
_atom_site_fract_y
_atom_site_fract_z
Pu1 Pu 0.000 0.000 0.000
Ge1 Ge 0.279 0.395 0.084
Au1 Au 0.017 0.485 0.515
Au2 Au 0.489 0.517 0.719
Au3 Au 0.493 0.019 0.720
Au4 Au 0.525 0.918 0.315
Au5 Au 0.724 0.534 0.113
Au6 Au 0.987 0.008 0.496
```


4.
Calculated powder XRD pattern
Compound: PaVIn
Radiation: copper Kα
Structure: DFT lattice parameters and positions (GGA-PBE)
Lines closer than 0.1° are merged.

Largest 8 diffraction maxima, low angle first, 2θ from 10° to 90°:
2θ = 13.83°, I = 20; 2θ = 27.87°, I = 20; 2θ = 29.31°, I = 37; 2θ = 35.51°, I = 100; 2θ = 40.67°, I = 38; 2θ = 50.02°, I = 17; 2θ = 60.17°, I = 16; 2θ = 70.68°, I = 27

Crystal structure
```
data_PaVIn
_symmetry_space_group_name_H-M 'I 4 m m'
_symmetry_Int_Tables_number 107
_symmetry_space_group_name_Hall 'I 4 -2'
_cell_length_a 3.137
_cell_length_b 3.137
_cell_length_c 12.804
_cell_angle_alpha 90.00
_cell_angle_beta 90.00
_cell_angle_gamma 90.00
loop_
_atom_site_label
_atom_site_type_symbol
_atom_site_fract_x
_atom_site_fract_y
_atom_site_fract_z
Pa1 Pa 0.000 0.000 0.000
V1 V 0.000 0.000 0.349
In1 In 0.000 0.000 0.704
```


- Number 1 is which compound?
  ErNp5N6